# HfZr2Sn4Au4
Computed powder XRD pattern, Cu Kα, 1.54184 Å. Input: a crystal structure in OQMD, relaxed with GGA-PBE.

Cell lengths 6.4586, 6.4586, 13.0204 Å; angles 90.00, 90.00, 90.00 degrees
Space group I-42m (No. 121)
Symmetry-distinct sites (fractional):
Hf (0.0000, 0.0000, 0.0000) (multiplicity 2)
Zr (0.0000, 0.5000, 0.2500) (multiplicity 4)
Sn (0.0000, 0.0000, 0.2647) (multiplicity 4)
Sn (0.0000, 0.5000, 0.0000) (multiplicity 4)
Au (0.2383, 0.2383, 0.8744) (multiplicity 8)

Principal peaks in the range 2θ = 10–80°, in order of falling intensity:
index, Position (°2θ), d (Å), intensity
2 0 4, 39.30, 2.293, 100
1 1 2, 23.80, 3.739, 87
2 2 0, 39.46, 2.283, 50
4 2 4, 71.46, 1.320, 34
3 1 2, 46.61, 1.949, 29
4 0 0, 57.04, 1.615, 17
2 2 8, 71.14, 1.325, 17
1 1 6, 46.32, 1.960, 15
1 0 1, 15.31, 5.786, 15
3 1 6, 62.44, 1.487, 12

---

# Hf2ZrSn4Au4
Computed powder XRD pattern, Cu Kα, 1.54184 Å. Input: a crystal structure in OQMD, relaxed with GGA-PBE.

Cell lengths 6.4695, 6.4695, 12.8846 Å; angles 90.00, 90.00, 90.00 degrees
Space group I-42m (No. 121)
Symmetry-distinct sites (fractional):
Hf (0.0000, 0.5000, 0.2500) (multiplicity 4)
Zr (0.0000, 0.0000, 0.0000) (multiplicity 2)
Sn (0.0000, 0.0000, 0.2629) (multiplicity 4)
Sn (0.0000, 0.5000, 0.0000) (multiplicity 4)
Au (0.2417, 0.2417, 0.8711) (multiplicity 8)

Principal peaks in the range 2θ = 10–80°, in order of falling intensity:
index, Position (°2θ), d (Å), intensity
2 2 0, 39.45, 2.284, 100
1 1 2, 23.86, 3.730, 52
4 2 4, 71.49, 1.320, 23
3 1 2, 46.58, 1.950, 18
4 0 0, 56.93, 1.617, 12
2 2 8, 71.66, 1.317, 11
1 1 6, 46.73, 1.944, 9
3 1 6, 62.73, 1.481, 7
0 0 2, 13.75, 6.442, 6
0 0 8, 57.20, 1.611, 5

---

# HfTe2Au
Computed powder XRD pattern, Cu Kα, 1.54184 Å. Input: a crystal structure in OQMD, relaxed with GGA-PBE.

Cell lengths 7.2100, 7.2100, 7.2100 Å; angles 90.00, 90.00, 90.00 degrees
Space group F-43m (No. 216)
Symmetry-distinct sites (fractional):
Hf (0.0000, 0.0000, 0.0000) (multiplicity 4)
Te (0.0000, 0.0000, 0.5000) (multiplicity 4)
Te (0.2500, 0.2500, 0.2500) (multiplicity 4)
Au (0.2500, 0.2500, 0.7500) (multiplicity 4)

Principal peaks in the range 2θ = 10–80°, in order of falling intensity:
index, Position (°2θ), d (Å), intensity
2 2 0, 35.21, 2.549, 100
4 2 2, 63.18, 1.472, 37
4 0 0, 50.64, 1.803, 18
4 4 0, 74.44, 1.275, 11
1 1 1, 21.35, 4.163, 5
3 1 1, 41.54, 2.174, 3
3 3 1, 55.56, 1.654, 1
5 3 1, 78.48, 1.219, 1
5 1 1, 67.50, 1.388, 1

---

# HfTlTe4Au3
Computed powder XRD pattern, Cu Kα, 1.54184 Å. Input: a crystal structure in OQMD, relaxed with GGA-PBE.

Cell lengths 6.4720, 8.1706, 10.5785 Å; angles 90.00, 106.15, 90.00 degrees
Space group P2_1/m (No. 11)
Symmetry-distinct sites (fractional):
Hf (0.1550, 0.2500, 0.2959) (multiplicity 2)
Tl (0.2831, 0.7500, 0.0818) (multiplicity 2)
Te (0.1132, 0.0223, 0.7550) (multiplicity 4)
Te (0.2978, 0.2500, 0.0753) (multiplicity 2)
Te (0.4630, 0.2500, 0.5455) (multiplicity 2)
Au (0.2001, 0.5448, 0.4816) (multiplicity 4)
Au (0.3565, 0.7500, 0.7072) (multiplicity 2)

Principal peaks in the range 2θ = 10–80°, in order of falling intensity:
index, Position (°2θ), d (Å), intensity
2 2 1, 39.35, 2.290, 100
2 2 -3, 40.10, 2.249, 92
1 0 -3, 26.24, 3.397, 75
2 0 -2, 29.21, 3.057, 68
1 2 0, 26.10, 3.414, 63
2 1 -2, 31.24, 2.863, 59
0 1 1, 13.91, 6.367, 57
0 2 1, 23.47, 3.790, 47
0 4 0, 44.35, 2.043, 44
0 2 3, 34.39, 2.608, 43

---

# YHfAu6
Computed powder XRD pattern, Cu Kα, 1.54184 Å. Input: a crystal structure in OQMD, relaxed with GGA-PBE.

Cell lengths 4.9391, 6.1565, 5.0522 Å; angles 90.00, 90.00, 90.00 degrees
Space group Pmm2 (No. 25)
Symmetry-distinct sites (fractional):
Y (0.0000, 0.0000, 0.0000) (multiplicity 1)
Hf (0.5000, 0.5000, 0.3137) (multiplicity 1)
Au (0.0000, 0.2651, 0.4970) (multiplicity 2)
Au (0.0000, 0.5000, 0.0061) (multiplicity 1)
Au (0.5000, 0.0000, 0.3316) (multiplicity 1)
Au (0.5000, 0.2575, 0.8211) (multiplicity 2)

Principal peaks in the range 2θ = 10–80°, in order of falling intensity:
index, Position (°2θ), d (Å), intensity
1 2 1, 38.81, 2.321, 100
1 0 2, 40.09, 2.249, 52
2 0 0, 36.38, 2.470, 42
0 2 1, 34.11, 2.629, 28
2 2 3, 74.90, 1.268, 20
3 2 1, 67.08, 1.395, 20
2 2 1, 50.72, 1.800, 18
0 2 3, 62.91, 1.477, 17
1 4 2, 74.74, 1.270, 16
3 0 2, 67.96, 1.379, 11

---

# Hf3ZrAu2
Computed powder XRD pattern, Cu Kα, 1.54184 Å. Input: a crystal structure in OQMD, relaxed with GGA-PBE.

Cell lengths 3.2634, 3.2634, 11.6057 Å; angles 90.00, 90.00, 90.00 degrees
Space group P4mm (No. 99)
Symmetry-distinct sites (fractional):
Hf (0.0000, 0.0000, 0.0000) (multiplicity 1)
Hf (0.0000, 0.0000, 0.3220) (multiplicity 1)
Hf (0.5000, 0.5000, 0.4965) (multiplicity 1)
Zr (0.5000, 0.5000, 0.8224) (multiplicity 1)
Au (0.0000, 0.0000, 0.6528) (multiplicity 1)
Au (0.5000, 0.5000, 0.1589) (multiplicity 1)

Principal peaks in the range 2θ = 10–80°, in order of falling intensity:
index, Position (°2θ), d (Å), intensity
1 0 3, 36.00, 2.494, 100
1 1 0, 39.03, 2.308, 40
2 1 3, 68.74, 1.366, 31
1 1 6, 62.67, 1.482, 20
2 0 0, 56.39, 1.632, 14
0 0 6, 46.98, 1.934, 12
2 0 6, 76.36, 1.247, 11
0 0 2, 15.27, 5.803, 4
1 0 5, 48.10, 1.892, 2
1 1 2, 42.14, 2.144, 1

---

# HgAu17
Computed powder XRD pattern, Cu Kα, 1.54184 Å. Input: a crystal structure in OQMD, relaxed with GGA-PBE.

Cell lengths 4.9944, 5.7931, 33.2465 Å; angles 90.00, 90.12, 90.00 degrees
Space group P2_1/m (No. 11)
Symmetry-distinct sites (fractional):
Hg (0.1671, 0.2500, 0.3116) (multiplicity 2)
Au (0.0000, 0.0000, 0.0000) (multiplicity 2)
Au (0.9998, 0.0018, 0.2205) (multiplicity 4)
Au (0.1645, 0.7500, 0.0734) (multiplicity 2)
Au (0.1653, 0.7500, 0.2948) (multiplicity 2)
Au (0.1655, 0.7500, 0.8536) (multiplicity 2)
Au (0.1655, 0.2500, 0.0734) (multiplicity 2)
Au (0.1686, 0.2500, 0.8537) (multiplicity 2)
Au (0.3322, 0.9996, 0.9268) (multiplicity 4)
Au (0.3328, 0.9995, 0.1470) (multiplicity 4)
Au (0.3332, 0.0000, 0.7045) (multiplicity 4)
Au (0.4988, 0.2500, 0.2205) (multiplicity 2)
Au (0.4987, 0.7500, 0.2207) (multiplicity 2)
Au (0.4998, 0.2500, 0.9998) (multiplicity 2)

Principal peaks in the range 2θ = 10–80°, in order of falling intensity:
index, Position (°2θ), d (Å), intensity
1 2 4, 37.50, 2.398, 100
1 2 5, 38.40, 2.344, 94
1 2 -9, 43.63, 2.075, 91
0 0 13, 35.09, 2.557, 55
2 0 -4, 37.59, 2.393, 50
2 0 -5, 38.48, 2.339, 47
0 0 14, 37.89, 2.375, 45
2 0 9, 43.80, 2.067, 45
2 0 -18, 62.49, 1.486, 43
3 2 0, 64.59, 1.443, 42

---

# HgAu17
Computed powder XRD pattern, Cu Kα, 1.54184 Å. Input: a crystal structure in OQMD, relaxed with GGA-PBE.

Cell lengths 5.7605, 5.7605, 31.0931 Å; angles 90.00, 90.00, 120.00 degrees
Space group P-3m1 (No. 164)
Symmetry-distinct sites (fractional):
Hg (0.3333, 0.6667, 0.3420) (multiplicity 2)
Au (0.0000, 0.0000, 0.0000) (multiplicity 1)
Au (0.0000, 0.0000, 0.2388) (multiplicity 2)
Au (0.0000, 0.5000, 0.0000) (multiplicity 3)
Au (0.0008, 0.5004, 0.2382) (multiplicity 6)
Au (0.1665, 0.3329, 0.1590) (multiplicity 6)
Au (0.1664, 0.3328, 0.9208) (multiplicity 6)
Au (0.1671, 0.3341, 0.6817) (multiplicity 6)
Au (0.3333, 0.6667, 0.0795) (multiplicity 2)
Au (0.3333, 0.6667, 0.8424) (multiplicity 2)

Principal peaks in the range 2θ = 10–80°, in order of falling intensity:
index, Position (°2θ), d (Å), intensity
2 0 4, 37.88, 2.375, 100
0 2 8, 43.09, 2.099, 59
0 2 9, 44.82, 2.022, 28
2 2 0, 64.74, 1.440, 28
2 0 5, 38.90, 2.315, 28
0 0 12, 34.62, 2.591, 26
0 0 13, 37.61, 2.392, 21
2 0 17, 63.02, 1.475, 18
2 2 12, 75.53, 1.259, 17
2 2 13, 77.34, 1.234, 16

---

# Hg2Au9
Computed powder XRD pattern, Cu Kα, 1.54184 Å. Input: a crystal structure in OQMD, relaxed with GGA-PBE.

Cell lengths 2.9132, 2.9132, 34.4205 Å; angles 90.00, 90.00, 120.00 degrees
Space group P-3m1 (No. 164)
Symmetry-distinct sites (fractional):
Hg (0.3333, 0.6667, 0.3668) (multiplicity 2)
Au (0.0000, 0.0000, 0.0000) (multiplicity 1)
Au (0.0000, 0.0000, 0.2126) (multiplicity 2)
Au (0.3333, 0.6667, 0.1417) (multiplicity 2)
Au (0.3333, 0.6667, 0.7153) (multiplicity 2)
Au (0.3333, 0.6667, 0.9291) (multiplicity 2)

Principal peaks in the range 2θ = 10–80°, in order of falling intensity:
index, Position (°2θ), d (Å), intensity
1 0 5, 37.99, 2.369, 100
0 1 9, 42.95, 2.106, 80
1 0 4, 37.14, 2.421, 58
0 0 14, 36.53, 2.459, 51
1 1 0, 63.92, 1.456, 33
1 1 14, 75.93, 1.253, 33
0 1 10, 44.53, 2.035, 25
1 0 18, 60.78, 1.524, 17
1 0 19, 63.19, 1.472, 16
0 1 23, 73.59, 1.287, 15

---

# Pr3In2HgPdAu2
Computed powder XRD pattern, Cu Kα, 1.54184 Å. Input: a crystal structure in OQMD, relaxed with GGA-PBE.

Cell lengths 4.0320, 13.7290, 8.0340 Å; angles 90.00, 90.00, 90.00 degrees
Space group Amm2 (No. 38)
Symmetry-distinct sites (fractional):
Pr (0.0000, 0.0000, 0.0000) (multiplicity 2)
Pr (0.0000, 0.1984, 0.3810) (multiplicity 4)
In (0.5000, 0.1240, 0.7141) (multiplicity 4)
Hg (0.5000, 0.0000, 0.3292) (multiplicity 2)
Pd (0.0000, 0.0000, 0.5980) (multiplicity 2)
Au (0.5000, 0.1715, 0.0803) (multiplicity 4)

Principal peaks in the range 2θ = 10–80°, in order of falling intensity:
index, Position (°2θ), d (Å), intensity
1 2 2, 34.11, 2.629, 100
1 3 1, 31.60, 2.831, 81
0 3 3, 38.97, 2.311, 30
1 4 0, 34.33, 2.612, 28
2 0 0, 44.96, 2.016, 27
1 0 2, 31.44, 2.846, 23
0 5 1, 34.52, 2.598, 21
0 6 0, 39.38, 2.288, 19
1 8 2, 63.28, 1.470, 17
2 3 3, 60.98, 1.519, 16

---

# Pr3Mg2HgIr2Au
Computed powder XRD pattern, Cu Kα, 1.54184 Å. Input: a crystal structure in OQMD, relaxed with GGA-PBE.

Cell lengths 4.1009, 13.1361, 7.7431 Å; angles 90.00, 90.00, 90.00 degrees
Space group Amm2 (No. 38)
Symmetry-distinct sites (fractional):
Pr (0.0000, 0.0000, 0.0000) (multiplicity 2)
Pr (0.0000, 0.2051, 0.3646) (multiplicity 4)
Mg (0.5000, 0.1268, 0.7022) (multiplicity 4)
Hg (0.5000, 0.0000, 0.3224) (multiplicity 2)
Ir (0.5000, 0.1726, 0.0613) (multiplicity 4)
Au (0.0000, 0.0000, 0.5984) (multiplicity 2)

Principal peaks in the range 2θ = 10–80°, in order of falling intensity:
index, Position (°2θ), d (Å), intensity
1 2 2, 34.67, 2.588, 100
1 3 1, 32.06, 2.792, 65
2 0 0, 44.17, 2.050, 25
1 1 1, 25.50, 3.494, 24
0 3 1, 23.34, 3.811, 22
0 3 3, 40.57, 2.224, 21
1 4 2, 42.28, 2.137, 19
0 1 3, 35.44, 2.533, 18
0 6 0, 41.23, 2.189, 18
1 8 2, 65.85, 1.418, 16

---

# La3Hg3PdAu2
Computed powder XRD pattern, Cu Kα, 1.54184 Å. Input: a crystal structure in OQMD, relaxed with GGA-PBE.

Cell lengths 8.0208, 8.0208, 4.0366 Å; angles 90.00, 90.00, 120.00 degrees
Space group P-62m (No. 189)
Symmetry-distinct sites (fractional):
La (0.0000, 0.6023, 0.0000) (multiplicity 3)
Hg (0.0000, 0.2559, 0.5000) (multiplicity 3)
Pd (0.0000, 0.0000, 0.0000) (multiplicity 1)
Au (0.3333, 0.6667, 0.5000) (multiplicity 2)

Principal peaks in the range 2θ = 10–80°, in order of falling intensity:
index, Position (°2θ), d (Å), intensity
2 0 1, 34.10, 2.630, 100
1 1 1, 31.44, 2.845, 76
3 0 0, 38.90, 2.315, 37
2 1 1, 41.01, 2.201, 35
3 2 1, 62.68, 1.482, 27
2 1 2, 57.60, 1.600, 20
3 0 2, 60.89, 1.521, 20
0 0 2, 44.91, 2.018, 19
0 0 1, 22.02, 4.037, 12
4 1 1, 65.81, 1.419, 9